This entry pairs a crystal structure of LiV3O4 with its computed powder diffractogram. Radiation: Cu Kα (λ = 1.5418 Å). Structure: a crystal structure in the Materials Project, relaxed with GGA+U.
No peak broadening, texture or thermal motion is included.

Crystal structure
Unit cell a=4.272 b=4.272 c=8.737 alpha=90.00 beta=90.00 gamma=90.00
Space group I4mm (No. 107)
Inequivalent atoms, fractional coordinates:
Li  0.000  0.000  0.000 [2 per cell]
V  0.000  0.000  0.489 [2 per cell]
V  0.000  0.500  0.248 [4 per cell]
O  0.000  0.000  0.247 [2 per cell]
O  0.000  0.000  0.734 [2 per cell]
O  0.000  0.500  0.497 [4 per cell]

Principal peaks in the range 10° ≤ 2θ ≤ 90°, in order of rising 2θ:
2θ (°), I_rel
23.2, 49
36.2, 53
41.3, 53
42.3, 100
60.6, 57
61.4, 28


This entry pairs a crystal structure of Li3V2O6 with its computed powder diffractogram. Radiation: Cu Kα (λ = 1.5418 Å). Structure: a crystal structure in the Materials Project, relaxed with GGA+U.
No peak broadening, texture or thermal motion is included.

Crystal structure
Unit cell a=5.093 b=8.696 c=5.095 alpha=90.00 beta=110.80 gamma=90.00
Space group C2/m (No. 12)
Inequivalent atoms, fractional coordinates:
Li  0.000  0.000  0.000 [2 per cell]
Li  0.000  0.346  0.000 [4 per cell]
V  0.000  0.166  0.500 [4 per cell]
O  0.198  0.000  0.733 [4 per cell]
O  0.231  0.194  0.274 [8 per cell]

Principal peaks in the range 10° ≤ 2θ ≤ 90°, in order of rising 2θ:
2θ (°), I_rel
18.6, 100
21.3, 61
23.6, 44
43.1, 41
44.2, 76
63.5, 38


This entry pairs a crystal structure of Li2VO3 with its computed powder diffractogram. Radiation: Cu Kα (λ = 1.5418 Å). Structure: a crystal structure in the Materials Project, relaxed with GGA+U.
No peak broadening, texture or thermal motion is included.

Crystal structure
Unit cell a=12.615 b=2.949 c=6.000 alpha=90.00 beta=104.42 gamma=90.00
Space group C2/m (No. 12)
Inequivalent atoms, fractional coordinates:
Li  0.000  0.000  0.000 [2 per cell]
Li  0.000  0.000  0.500 [2 per cell]
Li  0.163  0.500  0.339 [4 per cell]
V  0.157  0.500  0.821 [4 per cell]
O  0.012  0.500  0.760 [4 per cell]
O  0.168  0.000  0.607 [4 per cell]
O  0.175  0.000  0.065 [4 per cell]

Principal peaks in the range 10° ≤ 2θ ≤ 90°, in order of rising 2θ:
2θ (°), I_rel
15.2, 28
18.3, 100
23.6, 25
35.7, 23
43.0, 81
44.5, 33